Entry 1:
# Sm5Y3Tl2
Calculated powder diffractogram, Cu Kα X-rays. Input: the GGA-PBE geometry in Alexandria.
Lines closer than 0.1° are merged.

Structure:
abc: 12.029 15.912 6.619
angles: 90.00 93.92 90.00
Space group C2/c (No. 15)
One atom of each set of equivalent atoms:
Sm 0.000 0.034 0.250
Sm 0.136 0.157 0.607
Sm 0.241 0.052 0.037
Y 0.000 0.468 0.250
Y 0.115 0.263 0.086
Tl 0.117 0.357 0.592

Peak list (10 most intense, 2θ = 15–90°, in order of falling intensity)
index, 2theta, d/Å, Rel. int.
1 5 1, 32.32, 2.770, 100.0
2 0 2, 31.84, 2.811, 96.5
3 3 -1, 30.42, 2.939, 38.8
2 2 -2, 32.07, 2.791, 35.0
3 1 -1, 25.85, 3.446, 25.1
3 5 3, 56.99, 1.616, 18.8
4 4 0, 37.55, 2.395, 14.3
1 1 1, 16.71, 5.304, 14.3
7 5 -1, 62.27, 1.491, 13.3
2 4 -2, 37.72, 2.385, 13.2

Entry 2:
# K3Au2Br8
Calculated powder diffractogram, Cu Kα X-rays. Input: the GGA-PBE geometry in Alexandria.
Lines closer than 0.1° are merged.

Structure:
abc: 7.1913 7.1913 30.5257
angles: 90.00 90.00 120.00
Space group R-3m (No. 166, hexagonal axes)
One atom of each set of equivalent atoms:
K 0.0000 0.0000 0.0000
K 0.0000 0.0000 0.2058
Au 0.0000 0.0000 0.3945
Br 0.0000 0.0000 0.3122
Br 0.0248 0.5124 0.7712

Peak list (10 most intense, 2θ = 15–90°, in order of falling intensity)
index, 2theta, d/Å, Rel. int.
1 0 4, 18.39, 4.825, 100.0
1 1 0, 24.76, 3.596, 73.6
1 0 10, 32.67, 2.741, 63.0
1 1 3, 26.29, 3.390, 61.3
2 0 5, 32.27, 2.774, 57.8
2 2 0, 50.79, 1.798, 50.0
2 0 2, 29.27, 3.051, 46.3
2 0 11, 43.69, 2.072, 44.3
0 0 6, 17.43, 5.088, 39.4
0 2 13, 48.56, 1.875, 34.5

Entry 3:
# Ag3HgPd5
Calculated powder diffractogram, Cu Kα X-rays. Input: the GGA-PBE geometry in Alexandria.
Lines closer than 0.1° are merged.

Structure:
abc: 6.735 6.735 14.795
angles: 90.00 90.00 90.00
Space group I4/mcm (No. 140)
One atom of each set of equivalent atoms:
Ag 0.000 0.000 0.250
Ag 0.130 0.370 0.000
Hg 0.000 0.500 0.250
Pd 0.000 0.000 0.000
Pd 0.232 0.268 0.351

Peak list (10 most intense, 2θ = 15–90°, in order of falling intensity)
index, 2theta, d/Å, Rel. int.
2 0 4, 36.07, 2.490, 100.0
2 2 0, 37.78, 2.381, 53.9
4 2 4, 67.11, 1.395, 32.1
2 0 6, 45.60, 1.989, 27.9
2 1 3, 34.91, 2.570, 25.7
3 1 2, 44.26, 2.047, 19.3
2 2 2, 39.77, 2.267, 14.5
4 0 2, 56.02, 1.642, 14.3
0 0 8, 49.27, 1.849, 11.3
2 2 8, 63.72, 1.461, 10.6

Entry 4:
# Cs2ZrI6Cl
Calculated powder diffractogram, Cu Kα X-rays. Input: the GGA-PBE geometry in Alexandria.
Lines closer than 0.1° are merged.

Structure:
abc: 9.218 9.218 11.594
angles: 90.00 90.00 90.00
Space group I4/mmm (No. 139)
One atom of each set of equivalent atoms:
Cs 0.000 0.500 0.250
Zr 0.000 0.000 0.000
I 0.000 0.000 0.251
I 0.221 0.221 0.000
Cl 0.000 0.000 0.500

Peak list (10 most intense, 2θ = 15–90°, in order of falling intensity)
index, 2theta, d/Å, Rel. int.
2 0 2, 24.68, 3.608, 100.0
2 2 0, 27.37, 3.259, 62.3
2 2 4, 41.70, 2.166, 39.2
4 2 2, 46.78, 1.942, 25.8
0 0 4, 30.85, 2.898, 25.6
4 0 0, 39.09, 2.304, 20.8
4 0 4, 50.60, 1.804, 19.5
2 0 6, 51.27, 1.782, 13.4
6 2 4, 72.60, 1.302, 9.9
3 2 1, 35.97, 2.497, 9.5

Entry 5:
# NbAgPd14
Calculated powder diffractogram, Cu Kα X-rays. Input: the GGA-PBE geometry in Alexandria.
Lines closer than 0.1° are merged.

Structure:
abc: 5.668 5.668 7.787
angles: 90.00 90.00 90.00
Space group P4/mmm (No. 123)
One atom of each set of equivalent atoms:
Nb 0.000 0.000 0.000
Ag 0.500 0.500 0.000
Pd 0.000 0.000 0.500
Pd 0.000 0.500 0.000
Pd 0.000 0.500 0.500
Pd 0.245 0.245 0.247
Pd 0.500 0.500 0.500

Peak list (8 most intense, 2θ = 15–90°, in order of falling intensity)
index, 2theta, d/Å, Rel. int.
2 0 2, 39.32, 2.291, 100.0
2 2 0, 45.25, 2.004, 33.2
4 2 2, 79.53, 1.205, 24.3
2 2 4, 67.02, 1.396, 19.9
0 0 4, 46.65, 1.947, 15.2
2 0 6, 81.58, 1.180, 11.4
4 0 4, 84.58, 1.146, 10.5
4 0 0, 65.92, 1.417, 10.5

Entry 6:
# CsRb5Au2O
Calculated powder diffractogram, Cu Kα X-rays. Input: the GGA-PBE geometry in Alexandria.
Lines closer than 0.1° are merged.

Structure:
abc: 8.154 8.154 11.823
angles: 90.00 90.00 90.00
Space group I4mm (No. 107)
One atom of each set of equivalent atoms:
Cs 0.000 0.000 0.000
Rb 0.000 0.000 0.468
Rb 0.235 0.235 0.240
Au 0.000 0.500 0.467
O 0.000 0.000 0.234

Peak list (10 most intense, 2θ = 15–90°, in order of falling intensity)
index, 2theta, d/Å, Rel. int.
2 0 2, 26.56, 3.356, 100.0
2 2 0, 31.02, 2.883, 36.7
4 2 2, 52.52, 1.742, 29.0
2 2 4, 43.87, 2.064, 25.1
0 0 4, 30.24, 2.956, 18.0
4 0 0, 44.44, 2.039, 13.2
2 0 6, 51.51, 1.774, 12.8
4 0 4, 54.70, 1.678, 12.7
4 2 6, 70.35, 1.338, 9.7
1 1 2, 21.53, 4.128, 8.6